Record 1
Starting from a crystal structure in Alexandria, relaxed with PBE, the powder diffraction line list of MnTl2SnTe4 was calculated for Cu Kα (weighted mean of Kα1 and Kα2).
Lines closer than 0.1° are merged.

Crystal structure
```
data_MnTl2SnTe4
_symmetry_space_group_name_H-M 'P 1'
_symmetry_Int_Tables_number 1
_cell_length_a 8.880
_cell_length_b 8.880
_cell_length_c 8.880
_cell_angle_alpha 121.87
_cell_angle_beta 117.83
_cell_angle_gamma 90.30
loop_
_symmetry_equiv_pos_as_xyz
'x,y,z'
loop_
_atom_site_label
_atom_site_fract_x
_atom_site_fract_y
_atom_site_fract_z
_atom_site_occupancy
Mn1 0.500 0.000 0.000 1
Mn2 0.500 0.500 0.500 1
Tl1 0.000 0.000 0.000 1
Tl2 0.000 0.000 0.500 1
Tl3 0.000 0.500 0.000 1
Tl4 0.500 0.000 0.500 1
Sn1 0.000 0.500 0.500 1
Sn2 0.500 0.500 0.000 1
Te1 0.274 0.283 0.509 1
Te2 0.274 0.764 0.991 1
Te3 0.289 0.745 0.544 1
Te4 0.298 0.255 0.044 1
Te5 0.702 0.745 0.956 1
Te6 0.711 0.255 0.456 1
Te7 0.726 0.236 0.009 1
Te8 0.726 0.717 0.491 1
```

The 12 most intense peaks (2θ from 10° to 90°), low angle first:
two_theta  Rel. int.
28.4  100
31.4  10
39.3  12
40.7  47
41.9  13
49.3  11
51.4  13
58.8  7
59.0  7
66.6  10
66.8  9
75.7  10

Record 2
Starting from a crystal structure in Alexandria, relaxed with PBE, the powder diffraction line list of NaCePb6 was calculated for Cu Kα (weighted mean of Kα1 and Kα2).
Lines closer than 0.1° are merged.

Crystal structure
```
data_NaCePb6
_symmetry_space_group_name_H-M 'P 1'
_symmetry_Int_Tables_number 1
_cell_length_a 4.883
_cell_length_b 4.883
_cell_length_c 10.015
_cell_angle_alpha 90.00
_cell_angle_beta 90.00
_cell_angle_gamma 90.00
loop_
_symmetry_equiv_pos_as_xyz
'x,y,z'
loop_
_atom_site_label
_atom_site_fract_x
_atom_site_fract_y
_atom_site_fract_z
_atom_site_occupancy
Na1 0.000 0.000 0.000 1
Ce1 0.000 0.000 0.500 1
Pb1 0.000 0.500 0.247 1
Pb2 0.000 0.500 0.753 1
Pb3 0.500 0.000 0.247 1
Pb4 0.500 0.000 0.753 1
Pb5 0.500 0.500 0.000 1
Pb6 0.500 0.500 0.500 1
```

The 12 most intense peaks (2θ from 10° to 90°), low angle first:
two_theta  Rel. int.
31.5  100
35.9  18
36.8  33
52.3  25
53.0  12
61.7  15
63.0  29
65.7  13
85.7  13
86.8  6
87.6  6
89.3  6

Record 3
Starting from a crystal structure in Alexandria, relaxed with PBE, the powder diffraction line list of TbMgZn2Au2 was calculated for Cu Kα (weighted mean of Kα1 and Kα2).
Lines closer than 0.1° are merged.

Crystal structure
```
data_TbMgZn2Au2
_symmetry_space_group_name_H-M 'P 1'
_symmetry_Int_Tables_number 1
_cell_length_a 4.521
_cell_length_b 4.521
_cell_length_c 6.607
_cell_angle_alpha 90.00
_cell_angle_beta 90.00
_cell_angle_gamma 120.00
loop_
_symmetry_equiv_pos_as_xyz
'x,y,z'
loop_
_atom_site_label
_atom_site_fract_x
_atom_site_fract_y
_atom_site_fract_z
_atom_site_occupancy
Tb1 0.000 0.000 0.000 1
Mg1 0.000 0.000 0.500 1
Zn1 0.333 0.667 0.713 1
Zn2 0.667 0.333 0.287 1
Au1 0.333 0.667 0.268 1
Au2 0.667 0.333 0.732 1
```

The 12 most intense peaks (2θ from 10° to 90°), low angle first:
two_theta  Rel. int.
26.5  84
27.0  19
35.6  100
39.9  98
48.5  17
48.8  23
54.5  29
58.5  15
64.5  15
69.6  28
70.6  27
72.4  17

Record 4
Starting from a crystal structure in Alexandria, relaxed with PBE, the powder diffraction line list of Ba3Zn5In2O11 was calculated for Cu Kα (weighted mean of Kα1 and Kα2).
Lines closer than 0.1° are merged.

Crystal structure
```
data_Ba3Zn5In2O11
_symmetry_space_group_name_H-M 'P 1'
_symmetry_Int_Tables_number 1
_cell_length_a 9.591
_cell_length_b 9.591
_cell_length_c 9.591
_cell_angle_alpha 60.00
_cell_angle_beta 60.00
_cell_angle_gamma 60.00
loop_
_symmetry_equiv_pos_as_xyz
'x,y,z'
loop_
_atom_site_label
_atom_site_fract_x
_atom_site_fract_y
_atom_site_fract_z
_atom_site_occupancy
Ba1 0.207 0.207 0.793 1
Ba2 0.207 0.793 0.207 1
Ba3 0.207 0.793 0.793 1
Ba4 0.793 0.207 0.207 1
Ba5 0.793 0.207 0.793 1
Ba6 0.793 0.793 0.207 1
Zn1 0.251 0.583 0.583 1
Zn2 0.582 0.582 0.918 1
Zn3 0.582 0.918 0.582 1
Zn4 0.582 0.918 0.918 1
Zn5 0.583 0.251 0.583 1
Zn6 0.583 0.583 0.251 1
Zn7 0.583 0.583 0.583 1
Zn8 0.918 0.582 0.582 1
Zn9 0.918 0.582 0.918 1
Zn10 0.918 0.918 0.582 1
In1 0.335 0.335 0.335 1
In2 0.335 0.335 0.996 1
In3 0.335 0.996 0.335 1
In4 0.996 0.335 0.335 1
O1 0.000 0.000 0.000 1
O2 0.169 0.169 0.169 1
O3 0.169 0.169 0.494 1
O4 0.169 0.494 0.169 1
O5 0.171 0.498 0.498 1
O6 0.171 0.498 0.834 1
O7 0.171 0.834 0.498 1
O8 0.475 0.842 0.842 1
O9 0.494 0.169 0.169 1
O10 0.498 0.171 0.498 1
O11 0.498 0.171 0.834 1
O12 0.498 0.498 0.171 1
O13 0.498 0.498 0.834 1
O14 0.498 0.834 0.171 1
O15 0.498 0.834 0.498 1
O16 0.500 0.500 0.500 1
O17 0.834 0.171 0.498 1
O18 0.834 0.498 0.171 1
O19 0.834 0.498 0.498 1
O20 0.842 0.475 0.842 1
O21 0.842 0.842 0.475 1
O22 0.842 0.842 0.842 1
```

The 12 most intense peaks (2θ from 10° to 90°), low angle first:
two_theta  Rel. int.
22.7  22
28.7  48
32.3  84
34.4  100
37.5  27
39.3  13
39.9  15
47.9  20
55.4  21
57.7  71
68.9  23
72.0  16